Computed X-ray diffraction stick pattern of PmSm12Ho5 for a wavelength of 1.5418 Å, from a cell relaxed with PBE.
Intensities are scaled so that the largest is 100.

Main lines, low angle first (2θ = 10–90°):
2theta	d (Å)	I (rel.)
30.4	2.939	100
35.3	2.545	51
50.7	1.800	36
60.3	1.535	43
63.3	1.470	12
82.6	1.168	18

Atomic structure:
```
data_PmSm12Ho5
_chemical_formula_sum 'Pm2 Sm24 Ho10'
_cell_length_a 15.2597
_cell_length_b 15.2771
_cell_length_c 5.0938
_cell_angle_alpha 90.00
_cell_angle_beta 90.00
_cell_angle_gamma 90.00
_space_group_name_H-M_alt 'C m m m'
_space_group_IT_number 65
_space_group_name_Hall '-C 2 2'
loop_
_atom_site_label
_atom_site_type_symbol
_atom_site_fract_x
_atom_site_fract_y
_atom_site_fract_z
Pm1 Pm 0.0000 0.0000 0.0000
Sm1 Sm 0.1653 0.3335 0.5000
Sm2 Sm 0.1650 0.5000 0.0000
Sm3 Sm 0.1661 0.1672 0.0000
Sm4 Sm 0.1667 0.0000 0.5000
Ho1 Ho 0.0000 0.1676 0.5000
Ho2 Ho 0.0000 0.3333 0.0000
Ho3 Ho 0.0000 0.5000 0.5000
```